PmY: calculated X-ray powder pattern (copper Kα), based on a DFT-relaxed cell (GGA-PBE, Alexandria).
Kinematic intensities with the Lorentz-polarization factor, no thermal factor.

```
PmY
1.0
4.072 0.000 0.000
0.000 4.072 0.000
0.000 0.000 4.072
Pm Y
1 1
Cartesian
0.000 0.000 0.000
2.036 2.036 2.036
```

Peak list (10 most intense, 2θ = 10–90°, by angle)
d_spacing	two_theta	I (rel.)
4.072	21.83	6.4
2.879	31.06	100.0
2.351	38.28	2.1
2.036	44.50	18.4
1.821	50.09	3.1
1.662	55.26	38.6
1.440	64.75	11.9
1.357	69.21	1.5
1.288	73.55	16.3
1.176	81.96	4.1

---

Cs2RbFeC6N6: calculated X-ray powder pattern (copper Kα), based on a DFT-relaxed cell (GGA-PBE, Alexandria).
Kinematic intensities with the Lorentz-polarization factor, no thermal factor.

```
Cs2RbFeC6N6
1.0
7.896 0.000 0.000
0.000 8.334 0.000
-7.828 0.000 11.390
Cs Rb Fe C N
4 2 2 12 12
Cartesian
-0.145 0.547 2.818
-4.060 3.620 8.513
4.127 4.714 2.876
0.213 7.787 8.571
-3.914 0.000 5.695
0.000 4.167 0.000
3.948 0.000 0.000
0.034 4.167 5.695
-5.448 1.016 10.993
-1.534 3.151 5.298
-0.886 5.760 5.160
-4.800 6.741 10.855
-3.267 0.254 9.598
0.647 3.913 3.903
-0.579 4.421 7.487
3.335 8.081 1.792
4.868 1.593 0.535
0.954 2.574 6.230
1.602 5.184 6.092
5.516 7.318 0.397
-6.421 1.624 10.721
-2.507 2.543 5.026
-5.381 5.771 10.523
-1.467 6.731 4.828
-2.886 0.435 8.498
1.028 3.732 2.803
-0.960 4.602 8.587
2.954 7.899 2.892
1.535 1.604 6.562
5.449 2.563 0.867
2.575 5.791 6.363
6.489 6.710 0.668
```

Peak list (10 most intense, 2θ = 10–90°, by angle)
d_spacing	two_theta	I (rel.)
5.120	17.32	13.6
4.167	21.32	19.6
4.040	22.00	100.0
3.948	22.52	22.7
2.866	31.21	19.9
2.847	31.42	14.8
2.779	32.21	11.2
2.554	35.14	18.7
2.302	39.13	20.7
2.292	39.31	13.3

---

Ho8Tm3In: calculated X-ray powder pattern (copper Kα), based on a DFT-relaxed cell (GGA-PBE, Alexandria).
Kinematic intensities with the Lorentz-polarization factor, no thermal factor.

```
Ho8Tm3In
1.0
8.404 0.000 0.000
0.000 3.647 0.000
-0.928 0.000 11.949
Ho Tm In
8 3 1
Cartesian
0.000 0.000 0.000
-0.139 0.000 3.715
1.147 1.823 6.279
1.425 1.823 9.715
3.489 0.000 4.026
3.763 0.000 7.629
5.934 1.823 2.011
6.061 1.823 5.658
3.654 0.000 0.294
4.930 1.823 10.330
7.220 0.000 8.375
1.773 1.823 1.991
```

Peak list (10 most intense, 2θ = 10–90°, by angle)
d_spacing	two_theta	I (rel.)
3.005	29.73	34.7
2.885	30.99	20.3
2.781	32.19	61.7
2.768	32.35	19.1
2.751	32.55	100.0
2.690	33.31	95.4
1.835	49.68	20.2
1.612	57.13	19.4
1.575	58.59	18.7
1.524	60.77	37.9

---

La4SnIr: calculated X-ray powder pattern (copper Kα), based on a DFT-relaxed cell (GGA-PBE, Alexandria).
Kinematic intensities with the Lorentz-polarization factor, no thermal factor.

```
La4SnIr
1.0
8.149 -3.006 0.000
8.149 3.006 0.000
-2.269 0.000 7.847
La Sn Ir
8 2 2
Cartesian
5.629 2.119 4.401
3.258 0.771 6.761
7.265 2.119 7.369
4.393 -0.771 2.838
9.636 0.771 5.009
6.764 -2.119 0.478
10.770 -0.771 1.086
8.400 -2.119 3.446
7.582 0.852 1.962
6.447 -0.852 5.885
2.940 1.503 3.924
4.075 -1.503 0.000
```

Peak list (10 most intense, 2θ = 10–90°, by angle)
d_spacing	two_theta	I (rel.)
4.796	18.50	43.5
3.260	27.36	66.0
3.075	29.04	57.6
2.848	31.41	36.4
2.777	32.23	31.3
2.730	32.81	100.0
2.467	36.42	88.7
2.436	36.90	32.9
2.171	41.60	37.5
1.630	56.45	29.1

---

K8Rb3Li: calculated X-ray powder pattern (copper Kα), based on a DFT-relaxed cell (GGA-PBE, Alexandria).
Kinematic intensities with the Lorentz-polarization factor, no thermal factor.

```
K8Rb3Li
1.0
14.667 0.000 0.000
-7.334 12.702 0.000
0.000 0.000 9.382
K Rb Li
16 6 2
Cartesian
0.000 0.000 2.347
0.000 0.000 7.038
-3.391 6.510 2.620
0.000 5.184 0.000
-2.844 10.110 0.000
0.000 8.468 6.068
4.489 2.592 4.691
3.391 6.510 2.620
0.000 12.383 2.620
7.334 0.319 7.311
3.943 6.192 7.311
2.844 10.110 0.000
7.334 4.234 1.377
10.178 2.592 4.691
7.334 7.518 4.691
10.724 6.192 7.311
0.000 4.087 4.694
-3.794 10.659 4.694
3.539 2.044 0.003
3.794 10.659 4.694
11.128 2.044 0.003
7.334 8.615 0.003
0.000 8.468 2.183
7.334 4.234 6.874
```

Peak list (10 most intense, 2θ = 10–90°, by angle)
d_spacing	two_theta	I (rel.)
5.259	16.86	24.9
4.274	20.78	30.7
3.952	22.50	17.8
3.859	23.05	18.1
3.773	23.58	91.7
3.667	24.27	100.0
2.630	34.10	21.5
2.326	38.72	19.8
2.137	42.29	25.3
1.976	45.94	22.6

---

Ga7Co3: calculated X-ray powder pattern (copper Kα), based on a DFT-relaxed cell (GGA-PBE, Alexandria).
Kinematic intensities with the Lorentz-polarization factor, no thermal factor.

```
Ga7Co3
1.0
-4.220 4.220 4.220
4.220 -4.220 4.220
4.220 4.220 -4.220
Ga Co
14 6
Cartesian
1.332 1.332 -1.332
2.888 2.888 -2.888
1.332 -1.332 1.332
2.888 -2.888 2.888
4.220 2.110 0.000
4.220 0.000 2.110
-1.332 1.332 1.332
1.332 1.332 1.332
2.110 4.220 0.000
2.110 0.000 4.220
-2.888 2.888 2.888
2.888 2.888 2.888
0.000 4.220 2.110
0.000 2.110 4.220
2.965 0.000 0.000
5.476 0.000 0.000
0.000 2.965 0.000
0.000 0.000 2.965
0.000 5.476 0.000
0.000 0.000 5.476
```

Peak list (10 most intense, 2θ = 10–90°, by angle)
d_spacing	two_theta	I (rel.)
2.669	33.58	36.8
2.437	36.89	37.4
2.256	39.97	40.9
1.989	45.60	100.0
1.887	48.22	12.7
1.723	53.16	16.2
1.492	62.22	13.5
1.407	66.46	16.7
1.369	68.53	11.6
1.149	84.32	29.8

---

KTlSn: calculated X-ray powder pattern (copper Kα), based on a DFT-relaxed cell (GGA-PBE, Alexandria).
Kinematic intensities with the Lorentz-polarization factor, no thermal factor.

```
KTlSn
1.0
4.800 0.000 0.000
0.000 5.187 0.000
0.000 0.000 8.665
K Tl Sn
2 2 2
Cartesian
0.000 0.000 0.000
2.400 2.593 2.845
0.000 0.000 3.715
2.400 0.000 5.825
0.000 2.593 5.764
2.400 2.593 7.665
```

Peak list (10 most intense, 2θ = 10–90°, by angle)
d_spacing	two_theta	I (rel.)
8.665	10.21	85.9
4.450	19.95	22.8
4.199	21.16	23.4
3.263	27.33	40.1
2.733	32.76	100.0
2.593	34.59	25.4
2.400	37.47	20.4
2.234	40.38	16.8
1.523	60.83	17.3
1.442	64.66	18.1

---

PrNd7Hg2: calculated X-ray powder pattern (copper Kα), based on a DFT-relaxed cell (GGA-PBE, Alexandria).
Kinematic intensities with the Lorentz-polarization factor, no thermal factor.

```
PrNd7Hg2
1.0
4.639 -7.883 0.000
4.639 7.883 0.000
0.000 0.000 5.469
Pr Nd Hg
1 7 2
Cartesian
0.000 0.000 0.000
1.694 1.906 2.734
4.639 4.184 0.000
1.694 -1.906 2.734
4.639 0.000 2.734
7.584 1.906 2.734
4.639 -4.184 0.000
7.584 -1.906 2.734
4.639 3.063 2.734
4.639 -3.063 2.734
```

Peak list (10 most intense, 2θ = 10–90°, by angle)
d_spacing	two_theta	I (rel.)
5.469	16.21	72.4
4.639	19.13	36.5
4.514	19.67	30.6
3.197	27.90	50.5
3.004	29.74	72.2
2.734	32.75	67.3
2.654	33.78	74.6
2.620	34.22	100.0
2.022	44.82	47.0
1.722	53.21	28.6

---

ScPaTe6: calculated X-ray powder pattern (copper Kα), based on a DFT-relaxed cell (GGA-PBE, Alexandria).
Kinematic intensities with the Lorentz-polarization factor, no thermal factor.

```
ScPaTe6
1.0
4.382 0.000 0.000
0.000 4.377 0.000
0.000 0.000 25.603
Sc Pa Te
2 2 12
Cartesian
0.000 0.000 0.000
0.000 2.189 12.801
2.191 0.000 8.678
2.191 2.189 21.480
0.000 0.000 6.348
0.000 0.000 15.010
0.000 0.000 22.459
0.000 2.189 2.209
0.000 2.189 9.658
0.000 2.189 19.149
2.191 0.000 2.213
2.191 0.000 11.818
2.191 0.000 19.148
2.191 2.189 6.347
2.191 2.189 15.014
2.191 2.189 24.619
```

Peak list (10 most intense, 2θ = 10–90°, by angle)
d_spacing	two_theta	I (rel.)
6.401	13.84	22.1
3.200	27.88	24.4
3.074	29.04	14.1
2.911	30.71	100.0
2.650	33.83	30.8
2.363	38.07	30.3
2.190	41.23	45.3
1.807	50.50	18.9
1.548	59.72	15.1
1.367	68.66	19.6

---

Dy3Ga2Co7: calculated X-ray powder pattern (copper Kα), based on a DFT-relaxed cell (GGA-PBE, Alexandria).
Kinematic intensities with the Lorentz-polarization factor, no thermal factor.

```
Dy3Ga2Co7
1.0
2.569 1.483 7.849
-2.569 1.483 7.849
0.000 -2.967 7.849
Dy Ga Co
3 2 7
Cartesian
0.000 0.000 0.000
0.000 0.000 3.299
0.000 0.000 20.246
0.000 0.000 7.845
0.000 0.000 15.701
-1.281 -0.740 9.812
0.000 -1.479 13.733
-1.281 0.740 13.733
0.000 0.000 11.773
1.281 -0.740 9.812
0.000 1.479 9.812
1.281 0.740 13.733
```

Peak list (10 most intense, 2θ = 10–90°, by angle)
d_spacing	two_theta	I (rel.)
2.683	33.39	43.4
2.569	34.92	60.4
2.455	36.61	32.3
2.215	40.73	37.4
2.150	42.03	100.0
2.081	43.48	14.5
2.012	45.07	14.2
1.504	61.66	14.8
1.388	67.51	23.6
1.285	73.76	22.6